Structure and simulated powder XRD pattern of Li8TiMn3P6O24 (the GGA+U geometry in the Materials Project; Cu Ka).
Lines closer than 0.1° are merged.

Most intense lines, 2θ from 10° to 90°, in order of falling intensity:
two_theta, d/Å, I (rel.)
23.21, 3.832, 100
31.68, 2.824, 45
19.91, 4.460, 37
34.38, 2.608, 25
13.95, 6.348, 24
47.45, 1.916, 21
28.12, 3.174, 17
19.65, 4.518, 16
30.50, 2.930, 14
59.90, 1.544, 13

Structure:
a b c (Å): 9.0354 9.0354 21.7093
angles (deg): 90.00 90.00 120.00
Space group R3 (No. 146, hexagonal axes)
One atom of each set of equivalent atoms:
Li1 0.0000 0.0000 0.0000 (multiplicity 3)
Li2 0.0000 0.0000 0.4917 (multiplicity 3)
Li3 0.0021 0.4085 0.2396 (multiplicity 9)
Li4 0.0917 0.7489 0.0717 (multiplicity 9)
Ti1 0.0000 0.0000 0.8164 (multiplicity 3)
Mn1 0.0000 0.0000 0.1268 (multiplicity 3)
Mn2 0.0000 0.0000 0.3172 (multiplicity 3)
Mn3 0.0000 0.0000 0.6226 (multiplicity 3)
P1 0.0028 0.2991 0.7155 (multiplicity 9)
P2 0.0267 0.6689 0.8794 (multiplicity 9)
O1 0.0010 0.8228 0.5505 (multiplicity 9)
O2 0.0078 0.2224 0.6529 (multiplicity 9)
O3 0.0124 0.1858 0.7682 (multiplicity 9)
O4 0.0167 0.7871 0.1518 (multiplicity 9)
O5 0.0242 0.1951 0.3914 (multiplicity 9)
O6 0.1440 0.6992 0.9345 (multiplicity 9)
O7 0.1582 0.4837 0.7177 (multiplicity 9)
O8 0.1651 0.6729 0.5428 (multiplicity 9)